1.
For Li3SbS4, the GGA-PBE geometry in the Materials Project gives the calculated X-ray powder pattern in this record (Cu Kα (λ = 1.5418 Å)).
Intensities are scaled so that the largest is 100.

Cell and atoms:
abc: 12.4254 8.0073 6.9195
angles: 90.00 90.20 90.00
Space group Cc (No. 9)
Asymmetric unit:
Li  0.0000  0.0994  0.0000
Li  0.1688  0.3831  0.2054
Li  0.4312  0.1256  0.2599
Sb  0.2348  0.1551  0.6756
S  0.0276  0.1744  0.3385
S  0.1165  0.3398  0.8554
S  0.3169  0.3243  0.4307
S  0.4040  0.1579  0.9044

Peak list (10 most intense, 15 to 90 degrees two-theta, in order of falling intensity)
- 2θ 18.38, rel. 100
- 2θ 29.50, rel. 78
- 2θ 27.49, rel. 54
- 2θ 38.93, rel. 27
- 2θ 29.60, rel. 23
- 2θ 25.72, rel. 20
- 2θ 43.43, rel. 19
- 2θ 22.20, rel. 19
- 2θ 29.01, rel. 17
- 2θ 50.16, rel. 17

***

2.
For LiSmS2, the GGA-PBE geometry in the Materials Project gives the calculated X-ray powder pattern in this record (Cu Kα (λ = 1.5418 Å)).
Intensities are scaled so that the largest is 100.

Cell and atoms:
abc: 5.5611 5.5611 11.3078
angles: 90.00 90.00 90.00
Space group I4_1/amd (No. 141, origin choice 2)
Asymmetric unit:
Li  0.0000  0.2500  0.3750
Sm  0.0000  0.2500  0.8750
S  0.0000  0.2500  0.1221

Peak list (10 most intense, 15 to 90 degrees two-theta, in order of falling intensity)
- 2θ 17.77, rel. 100
- 2θ 32.19, rel. 54
- 2θ 45.77, rel. 39
- 2θ 37.01, rel. 32
- 2θ 28.61, rel. 30
- 2θ 31.65, rel. 28
- 2θ 27.63, rel. 24
- 2θ 57.06, rel. 20
- 2θ 46.17, rel. 19
- 2θ 43.60, rel. 19

***

3.
For LiSmS2, the GGA-PBE geometry in the Materials Project gives the calculated X-ray powder pattern in this record (Cu Kα (λ = 1.5418 Å)).
Intensities are scaled so that the largest is 100.

Cell and atoms:
abc: 4.0004 4.0004 5.4413
angles: 90.00 90.00 90.00
Space group P4/mmm (No. 123)
Asymmetric unit:
Li  0.0000  0.0000  0.0000
Sm  0.5000  0.5000  0.5000
S  0.0000  0.0000  0.5000
S  0.5000  0.5000  0.0000

Peak list (10 most intense, 15 to 90 degrees two-theta, in order of falling intensity)
- 2θ 16.29, rel. 100
- 2θ 22.22, rel. 98
- 2θ 31.63, rel. 95
- 2θ 46.30, rel. 63
- 2θ 35.78, rel. 58
- 2θ 32.92, rel. 43
- 2θ 40.08, rel. 42
- 2θ 27.68, rel. 40
- 2θ 45.34, rel. 34
- 2θ 57.16, rel. 33

***

4.
For LiSmS2, the GGA-PBE geometry in the Materials Project gives the calculated X-ray powder pattern in this record (Cu Kα (λ = 1.5418 Å)).
Intensities are scaled so that the largest is 100.

Cell and atoms:
abc: 4.0026 4.0026 18.6349
angles: 90.00 90.00 120.00
Space group R-3m (No. 166, hexagonal axes)
Asymmetric unit:
Li  0.0000  0.0000  0.0000
Sm  0.0000  0.0000  0.5000
S  0.0000  0.0000  0.2515

Peak list (10 most intense, 15 to 90 degrees two-theta, in order of falling intensity)
- 2θ 32.19, rel. 100
- 2θ 26.15, rel. 73
- 2θ 45.31, rel. 37
- 2θ 35.36, rel. 34
- 2θ 47.00, rel. 33
- 2θ 47.75, rel. 28
- 2θ 27.45, rel. 23
- 2θ 56.66, rel. 19
- 2θ 42.83, rel. 18
- 2θ 75.36, rel. 16

***

5.
For Li4SnS4, the GGA-PBE geometry in the Materials Project gives the calculated X-ray powder pattern in this record (Cu Kα (λ = 1.5418 Å)).
Intensities are scaled so that the largest is 100.

Cell and atoms:
abc: 14.3194 7.9512 6.3868
angles: 90.00 90.00 90.00
Space group Pnma (No. 62)
Asymmetric unit:
Li  0.0000  0.0000  0.0000
Li  0.0902  0.2500  0.3681
Li  0.1778  0.5037  0.8218
Sn  0.0913  0.7500  0.3584
S  0.0704  0.2500  0.7625
S  0.0828  0.7500  0.7360
S  0.1599  0.0001  0.2114

Peak list (10 most intense, 15 to 90 degrees two-theta, in order of falling intensity)
- 2θ 16.66, rel. 100
- 2θ 17.81, rel. 59
- 2θ 18.62, rel. 49
- 2θ 44.27, rel. 47
- 2θ 25.63, rel. 47
- 2θ 30.80, rel. 38
- 2θ 24.87, rel. 37
- 2θ 27.14, rel. 37
- 2θ 25.86, rel. 36
- 2θ 27.94, rel. 30

***

6.
For LiSnS2, the GGA-PBE geometry in the Materials Project gives the calculated X-ray powder pattern in this record (Cu Kα (λ = 1.5418 Å)).
Intensities are scaled so that the largest is 100.

Cell and atoms:
abc: 3.8021 3.8021 18.9157
angles: 90.00 90.00 120.00
Space group R-3m (No. 166, hexagonal axes)
Asymmetric unit:
Li  0.0000  0.0000  0.0000
Sn  0.0000  0.0000  0.5000
S  0.0000  0.0000  0.2533

Peak list (10 most intense, 15 to 90 degrees two-theta, in order of falling intensity)
- 2θ 33.15, rel. 100
- 2θ 27.50, rel. 60
- 2θ 47.33, rel. 36
- 2θ 47.85, rel. 35
- 2θ 36.17, rel. 32
- 2θ 50.12, rel. 22
- 2θ 59.45, rel. 18
- 2θ 78.89, rel. 16
- 2θ 79.67, rel. 16
- 2θ 43.32, rel. 15

***

7.
For LiSnS2, the GGA-PBE geometry in the Materials Project gives the calculated X-ray powder pattern in this record (Cu Kα (λ = 1.5418 Å)).
Intensities are scaled so that the largest is 100.

Cell and atoms:
abc: 3.7726 3.7726 6.5083
angles: 90.00 90.00 120.00
Space group P-3m1 (No. 164)
Asymmetric unit:
Li  0.0000  0.0000  0.0000
Sn  0.0000  0.0000  0.5000
S  0.3333  0.6667  0.7558

Peak list (10 most intense, 15 to 90 degrees two-theta, in order of falling intensity)
- 2θ 30.62, rel. 100
- 2θ 39.07, rel. 77
- 2θ 27.30, rel. 33
- 2θ 48.25, rel. 30
- 2θ 50.50, rel. 23
- 2θ 50.37, rel. 19
- 2θ 63.75, rel. 18
- 2θ 83.78, rel. 18
- 2θ 58.23, rel. 16
- 2θ 77.47, rel. 15

***

8.
For LiTbS2, the GGA-PBE geometry in the Materials Project gives the calculated X-ray powder pattern in this record (Cu Kα (λ = 1.5418 Å)).
Intensities are scaled so that the largest is 100.

Cell and atoms:
abc: 3.9297 3.9297 18.5754
angles: 90.00 90.00 120.00
Space group R-3m (No. 166, hexagonal axes)
Asymmetric unit:
Li  0.0000  0.0000  0.0000
Tb  0.0000  0.0000  0.5000
S  0.0000  0.0000  0.2504

Peak list (10 most intense, 15 to 90 degrees two-theta, in order of falling intensity)
- 2θ 32.62, rel. 100
- 2θ 26.63, rel. 74
- 2θ 46.20, rel. 37
- 2θ 35.78, rel. 35
- 2θ 47.40, rel. 34
- 2θ 48.61, rel. 29
- 2θ 27.92, rel. 25
- 2θ 78.70, rel. 22
- 2θ 43.23, rel. 20
- 2θ 57.70, rel. 19

***

9.
For Li2TeS3, the GGA-PBE geometry in the Materials Project gives the calculated X-ray powder pattern in this record (Cu Kα (λ = 1.5418 Å)).
Intensities are scaled so that the largest is 100.

Cell and atoms:
abc: 5.4191 11.5794 7.8960
angles: 90.00 91.49 90.00
Space group P2_1/c (No. 14)
Asymmetric unit:
Li  0.2374  0.0855  0.3684
Li  0.2604  0.7284  0.3569
Te  0.2792  0.0871  0.8184
S  0.2291  0.2444  0.6209
S  0.2546  0.5734  0.1307
S  0.2796  0.5979  0.6359

Peak list (10 most intense, 15 to 90 degrees two-theta, in order of falling intensity)
- 2θ 32.44, rel. 100
- 2θ 19.01, rel. 92
- 2θ 21.09, rel. 78
- 2θ 33.07, rel. 55
- 2θ 21.55, rel. 45
- 2θ 47.46, rel. 36
- 2θ 18.08, rel. 36
- 2θ 47.11, rel. 25
- 2θ 22.52, rel. 25
- 2θ 46.56, rel. 23

***

10.
For Li4Ti5S12, the GGA-PBE geometry in the Materials Project gives the calculated X-ray powder pattern in this record (Cu Kα (λ = 1.5418 Å)).
Intensities are scaled so that the largest is 100.

Cell and atoms:
abc: 6.4933 11.6606 12.0161
angles: 72.86 76.56 78.38
Space group P-1 (No. 2)
Asymmetric unit:
Li  0.1440  0.4193  0.3893
Li  0.1904  0.2331  0.9437
Li  0.2256  0.0879  0.4783
Li  0.3534  0.5928  0.0958
Ti  0.0794  0.5740  0.8532
Ti  0.2387  0.9084  0.2237
Ti  0.3082  0.9077  0.8223
Ti  0.3107  0.7246  0.5774
Ti  0.3757  0.4076  0.6398
S  0.0344  0.2687  0.3074
S  0.0405  0.4176  0.7705
S  0.0688  0.0804  0.8430
S  0.1585  0.8978  0.4173
S  0.1799  0.7364  0.9307
S  0.2472  0.4293  0.0160
S  0.2550  0.5798  0.4828
S  0.3284  0.2688  0.5530
S  0.3895  0.0816  0.1156
S  0.3975  0.8966  0.6331
S  0.4499  0.7345  0.1976
S  0.4536  0.5703  0.7277

Peak list (10 most intense, 15 to 90 degrees two-theta, in order of falling intensity)
- 2θ 48.92, rel. 100
- 2θ 35.31, rel. 93
- 2θ 34.18, rel. 91
- 2θ 34.36, rel. 91
- 2θ 30.00, rel. 76
- 2θ 28.85, rel. 73
- 2θ 51.07, rel. 53
- 2θ 51.24, rel. 53
- 2θ 49.60, rel. 52
- 2θ 48.83, rel. 52

***

11.
For LiTi2S4, the GGA-PBE geometry in the Materials Project gives the calculated X-ray powder pattern in this record (Cu Kα (λ = 1.5418 Å)).
Intensities are scaled so that the largest is 100.

Cell and atoms:
abc: 10.1677 10.1677 10.1677
angles: 90.00 90.00 90.00
Space group Fd-3m (No. 227, origin choice 2)
Asymmetric unit:
Li  0.1250  0.1250  0.1250
Ti  0.0000  0.0000  0.5000
S  0.0085  0.0085  0.7415

Peak list (10 most intense, 15 to 90 degrees two-theta, in order of falling intensity)
- 2θ 35.31, rel. 100
- 2θ 15.09, rel. 76
- 2θ 50.80, rel. 68
- 2θ 29.13, rel. 32
- 2θ 85.40, rel. 24
- 2θ 46.40, rel. 21
- 2θ 63.38, rel. 19
- 2θ 53.30, rel. 13
- 2θ 74.68, rel. 9
- 2θ 65.57, rel. 8

***

12.
For Li4TiS4, the GGA-PBE geometry in the Materials Project gives the calculated X-ray powder pattern in this record (Cu Kα (λ = 1.5418 Å)).
Intensities are scaled so that the largest is 100.

Cell and atoms:
abc: 7.2353 7.2264 13.0447
angles: 90.00 102.82 90.00
Space group P2_1/c (No. 14)
Asymmetric unit:
Li  0.0011  0.0184  0.3639
Li  0.1765  0.0797  0.1114
Li  0.3984  0.7253  0.8586
Li  0.4191  0.6836  0.1119
Ti  0.2112  0.0998  0.8763
S  0.0780  0.6666  0.7227
S  0.1846  0.6556  0.4713
S  0.2990  0.1534  0.4855
S  0.4240  0.0475  0.7729

Peak list (10 most intense, 15 to 90 degrees two-theta, in order of falling intensity)
- 2θ 19.93, rel. 100
- 2θ 16.57, rel. 92
- 2θ 25.63, rel. 89
- 2θ 26.03, rel. 84
- 2θ 33.22, rel. 75
- 2θ 20.78, rel. 66
- 2θ 28.12, rel. 63
- 2θ 35.79, rel. 59
- 2θ 18.59, rel. 52
- 2θ 24.34, rel. 52